Computed PXRD pattern
Compound: Ba4Nd8Cu3PtO20
Radiation: copper Kα
Structure: a GGA-PBE-relaxed structure
Lines closer than 0.1° are merged.

Atomic structure:
Unit cell a=6.7832 b=5.9076 c=13.5674 alpha=90.00 beta=90.20 gamma=90.00
Atoms (fractional coordinates):
Ba  0.0000  0.0000  0.0000
Ba  0.0000  0.0000  0.5000
Ba  0.4959  0.0000  0.2508
Ba  0.5041  0.0000  0.7492
Nd  0.1719  0.5000  0.8343
Nd  0.1729  0.5000  0.3379
Nd  0.3234  0.5000  0.0879
Nd  0.3274  0.5000  0.5866
Nd  0.6726  0.5000  0.4134
Nd  0.6766  0.5000  0.9121
Nd  0.8271  0.5000  0.6621
Nd  0.8281  0.5000  0.1657
Cu  0.0021  0.0000  0.7493
Cu  0.5000  0.0000  0.5000
Cu  0.9979  0.0000  0.2507
Pt  0.5000  0.0000  0.0000
O  0.0000  0.5000  0.0000
O  0.0000  0.5000  0.5000
O  0.1358  0.2454  0.1822
O  0.1358  0.7546  0.1822
O  0.1401  0.2432  0.6799
O  0.1401  0.7568  0.6799
O  0.3584  0.2519  0.9281
O  0.3584  0.7481  0.9281
O  0.3604  0.2430  0.4311
O  0.3604  0.7570  0.4311
O  0.4981  0.5000  0.2516
O  0.5019  0.5000  0.7484
O  0.6396  0.2430  0.5689
O  0.6396  0.7570  0.5689
O  0.6416  0.2519  0.0719
O  0.6416  0.7481  0.0719
O  0.8599  0.2432  0.3201
O  0.8599  0.7568  0.3201
O  0.8642  0.2454  0.8178
O  0.8642  0.7546  0.8178

Main lines, in order of rising 2θ (10° ≤ 2θ ≤ 90°):
d (Å)	2theta	Rel. int.
3.032	29.46	19
2.954	30.26	39
2.941	30.39	100
2.702	33.16	33
2.696	33.24	18
2.118	42.70	14
2.115	42.76	23
1.703	53.83	20

***

Computed PXRD pattern
Compound: Ba2Nd2Ti2Cu2O11
Radiation: copper Kα
Structure: a GGA-PBE-relaxed structure
Lines closer than 0.1° are merged.

Atomic structure:
Unit cell a=3.9374 b=3.9374 c=16.0613 alpha=90.00 beta=90.00 gamma=90.00
Atoms (fractional coordinates):
Ba  0.0000  0.0000  0.2340
Ba  0.0000  0.0000  0.7660
Nd  0.0000  0.0000  0.0000
Nd  0.0000  0.0000  0.5000
Ti  0.5000  0.5000  0.3747
Ti  0.5000  0.5000  0.6253
Cu  0.5000  0.5000  0.1063
Cu  0.5000  0.5000  0.8937
O  0.0000  0.5000  0.0954
O  0.0000  0.5000  0.3878
O  0.0000  0.5000  0.6122
O  0.0000  0.5000  0.9046
O  0.5000  0.0000  0.0954
O  0.5000  0.0000  0.3878
O  0.5000  0.0000  0.6122
O  0.5000  0.0000  0.9046
O  0.5000  0.5000  0.2587
O  0.5000  0.5000  0.5000
O  0.5000  0.5000  0.7413

Main lines, in order of rising 2θ (10° ≤ 2θ ≤ 90°):
d (Å)	2theta	Rel. int.
3.937	22.58	16
2.811	31.83	100
2.784	32.15	49
2.288	39.38	25
1.969	46.11	33
1.628	56.51	16
1.613	57.12	37
1.406	66.52	12

***

Computed PXRD pattern
Compound: Ba4NdYCu8O16
Radiation: copper Kα
Structure: a GGA-PBE-relaxed structure
Lines closer than 0.1° are merged.

Atomic structure:
Unit cell a=3.9049 b=3.9099 c=27.6522 alpha=90.00 beta=90.00 gamma=90.00
Atoms (fractional coordinates):
Ba  0.0000  0.0000  0.1352
Ba  0.0000  0.0000  0.8648
Ba  0.5000  0.0000  0.3625
Ba  0.5000  0.0000  0.6375
Nd  0.5000  0.0000  0.5000
Y  0.0000  0.0000  0.0000
Cu  0.0000  0.5000  0.2863
Cu  0.0000  0.5000  0.4352
Cu  0.0000  0.5000  0.5648
Cu  0.0000  0.5000  0.7137
Cu  0.5000  0.5000  0.0616
Cu  0.5000  0.5000  0.2113
Cu  0.5000  0.5000  0.7887
Cu  0.5000  0.5000  0.9384
O  0.0000  0.0000  0.4445
O  0.0000  0.0000  0.5555
O  0.0000  0.5000  0.0517
O  0.0000  0.5000  0.2179
O  0.0000  0.5000  0.3532
O  0.0000  0.5000  0.6468
O  0.0000  0.5000  0.7821
O  0.0000  0.5000  0.9483
O  0.5000  0.0000  0.0520
O  0.5000  0.0000  0.9480
O  0.5000  0.5000  0.1444
O  0.5000  0.5000  0.2797
O  0.5000  0.5000  0.4448
O  0.5000  0.5000  0.5552
O  0.5000  0.5000  0.7203
O  0.5000  0.5000  0.8556

Main lines, in order of rising 2θ (10° ≤ 2θ ≤ 90°):
d (Å)	2theta	Rel. int.
2.981	29.97	43
2.777	32.23	100
2.749	32.57	95
2.590	34.64	63
1.954	46.48	66
1.599	57.67	39
1.533	60.36	29
1.389	67.42	27